Record 1
Computed powder diffraction line list
Compound: Li4Nb2Fe3Sn3O16
Radiation: Cu Kα
Structure: a DFT-relaxed cell (PBE+U, the Materials Project)
Lines closer than 0.1° are merged.

Cell and atoms:
```
Li4Nb2Fe3Sn3O16
1.0
5.402 -3.097 0.000
5.402 3.097 0.000
-0.019 0.000 9.972
Li Nb Fe Sn O
4 2 3 3 16
direct
0.000 0.000 0.000
0.002 0.002 0.512
0.323 0.323 0.595
0.666 0.666 0.092
0.319 0.319 0.000
0.643 0.643 0.520
0.167 0.167 0.285
0.335 0.823 0.783
0.823 0.335 0.783
0.163 0.658 0.282
0.658 0.163 0.282
0.824 0.824 0.782
0.040 0.484 0.149
0.156 0.652 0.909
0.166 0.166 0.913
0.332 0.332 0.394
0.335 0.821 0.406
0.482 0.482 0.158
0.484 0.040 0.149
0.508 0.508 0.638
0.525 0.954 0.643
0.652 0.156 0.909
0.661 0.661 0.887
0.821 0.335 0.406
0.837 0.837 0.399
0.954 0.525 0.643
0.995 0.995 0.697
0.998 0.998 0.185
```

The 8 most intense peaks (15 to 90 degrees two-theta), in order of rising 2θ:
2θ/deg, d/Å, I (rel.)
17.79, 4.986, 52
18.71, 4.742, 100
24.33, 3.659, 56
31.64, 2.828, 48
33.95, 2.641, 44
34.58, 2.594, 57
43.30, 2.090, 47
57.54, 1.602, 43

***

Record 2
Computed powder diffraction line list
Compound: Cr3Ag8I2O12
Radiation: Cu Kα
Structure: a DFT-relaxed cell (PBE+U, the Materials Project)
Lines closer than 0.1° are merged.

Cell and atoms:
```
Cr3Ag8I2O12
1.0
9.548 0.000 0.000
-4.774 8.269 0.000
0.000 0.000 10.431
Cr Ag I O
6 16 4 24
direct
0.004 0.284 0.250
0.280 0.996 0.250
0.284 0.280 0.750
0.716 0.720 0.250
0.720 0.004 0.750
0.996 0.716 0.750
0.000 0.000 0.000
0.000 0.000 0.500
0.000 0.372 0.575
0.000 0.372 0.925
0.000 0.628 0.075
0.000 0.628 0.425
0.333 0.667 0.250
0.372 0.000 0.575
0.372 0.000 0.925
0.372 0.372 0.075
0.372 0.372 0.425
0.628 0.000 0.075
0.628 0.000 0.425
0.628 0.628 0.575
0.628 0.628 0.925
0.667 0.333 0.750
0.333 0.667 0.521
0.333 0.667 0.979
0.667 0.333 0.021
0.667 0.333 0.479
0.043 0.477 0.250
0.084 0.254 0.115
0.084 0.254 0.385
0.157 0.351 0.750
0.170 0.916 0.115
0.170 0.916 0.385
0.194 0.843 0.750
0.254 0.170 0.615
0.254 0.170 0.885
0.351 0.194 0.250
0.435 0.957 0.250
0.477 0.435 0.750
0.523 0.565 0.250
0.565 0.043 0.750
0.649 0.806 0.750
0.746 0.830 0.115
0.746 0.830 0.385
0.806 0.157 0.250
0.830 0.084 0.615
0.830 0.084 0.885
0.843 0.649 0.250
0.916 0.746 0.615
0.916 0.746 0.885
0.957 0.523 0.750
```

The 8 most intense peaks (15 to 90 degrees two-theta), in order of rising 2θ:
2θ/deg, d/Å, I (rel.)
17.00, 5.216, 19
29.84, 2.994, 16
31.84, 2.811, 75
32.48, 2.756, 100
36.88, 2.437, 27
39.35, 2.290, 25
46.12, 1.968, 19
47.51, 1.914, 17

***

Record 3
Computed powder diffraction line list
Compound: FeOF
Radiation: Cu Kα
Structure: a DFT-relaxed cell (PBE+U, the Materials Project)
Lines closer than 0.1° are merged.

Cell and atoms:
```
FeOF
1.0
14.323 0.000 0.000
0.000 3.109 0.000
-0.035 0.000 14.415
Fe O F
18 18 18
direct
0.000 0.000 0.000
0.000 0.000 0.333
0.013 0.000 0.653
0.181 0.500 0.513
0.193 0.500 0.834
0.194 0.500 0.168
0.332 0.000 0.000
0.333 0.000 0.667
0.343 0.000 0.327
0.526 0.500 0.834
0.527 0.500 0.501
0.531 0.500 0.162
0.666 0.000 0.333
0.666 0.000 0.667
0.675 0.000 0.992
0.846 0.500 0.846
0.860 0.500 0.167
0.860 0.500 0.501
0.077 0.500 0.601
0.243 0.000 0.231
0.245 0.000 0.896
0.247 0.000 0.560
0.281 0.500 0.728
0.282 0.500 0.064
0.575 0.000 0.896
0.578 0.000 0.562
0.581 0.000 0.226
0.613 0.500 0.395
0.615 0.500 0.730
0.620 0.500 0.060
0.743 0.500 0.936
0.908 0.000 0.566
0.911 0.000 0.895
0.912 0.000 0.230
0.948 0.500 0.062
0.949 0.500 0.398
0.078 0.500 0.266
0.078 0.500 0.933
0.112 0.000 0.770
0.115 0.000 0.099
0.118 0.000 0.431
0.280 0.500 0.399
0.410 0.500 0.933
0.412 0.500 0.599
0.417 0.500 0.263
0.446 0.000 0.433
0.447 0.000 0.765
0.450 0.000 0.098
0.744 0.500 0.599
0.745 0.500 0.268
0.781 0.000 0.432
0.783 0.000 0.104
0.783 0.000 0.764
0.947 0.500 0.731
```

The 8 most intense peaks (15 to 90 degrees two-theta), in order of rising 2θ:
2θ/deg, d/Å, I (rel.)
26.31, 3.387, 100
34.39, 2.608, 53
39.34, 2.290, 19
51.76, 1.766, 31
51.91, 1.762, 28
59.47, 1.554, 10
65.56, 1.424, 11
66.15, 1.413, 12

***

Record 4
Computed powder diffraction line list
Compound: CsNa2Mn3P4ClO14
Radiation: Cu Kα
Structure: a DFT-relaxed cell (PBE+U, the Materials Project)
Lines closer than 0.1° are merged.

Cell and atoms:
```
CsNa2Mn3P4ClO14
1.0
10.804 -2.675 0.000
10.804 2.675 0.000
-6.698 0.000 12.377
Cs Na Mn P Cl O
2 4 6 8 2 28
direct
0.000 0.000 0.000
0.000 0.000 0.500
0.196 0.245 0.153
0.245 0.196 0.653
0.755 0.804 0.347
0.804 0.755 0.847
0.142 0.177 0.848
0.177 0.142 0.348
0.441 0.559 0.250
0.559 0.441 0.750
0.823 0.858 0.652
0.858 0.823 0.152
0.326 0.358 0.506
0.358 0.326 0.006
0.374 0.384 0.324
0.384 0.374 0.824
0.616 0.626 0.176
0.626 0.616 0.676
0.642 0.674 0.994
0.674 0.642 0.494
0.037 0.963 0.750
0.963 0.037 0.250
0.043 0.640 0.524
0.086 0.593 0.283
0.117 0.553 0.757
0.181 0.358 0.928
0.244 0.517 0.111
0.357 0.423 0.947
0.358 0.181 0.428
0.360 0.957 0.976
0.407 0.914 0.217
0.423 0.357 0.447
0.447 0.463 0.347
0.447 0.883 0.743
0.463 0.447 0.847
0.483 0.756 0.389
0.517 0.244 0.611
0.537 0.553 0.153
0.553 0.117 0.257
0.553 0.537 0.653
0.577 0.643 0.553
0.593 0.086 0.783
0.640 0.043 0.024
0.642 0.819 0.572
0.643 0.577 0.053
0.756 0.483 0.889
0.819 0.642 0.072
0.883 0.447 0.243
0.914 0.407 0.717
0.957 0.360 0.476
```

The 8 most intense peaks (15 to 90 degrees two-theta), in order of rising 2θ:
2θ/deg, d/Å, I (rel.)
23.86, 3.729, 65
26.72, 3.337, 43
28.17, 3.167, 73
28.82, 3.098, 62
29.21, 3.057, 42
29.66, 3.012, 88
30.41, 2.939, 100
33.50, 2.675, 62

***

> Number 2 is which compound?

Cr3Ag8I2O12